Starting from DFT lattice parameters and positions (PBE), the X-ray diffraction stick pattern of Ni7SnTe2H2 was calculated for Cu Ka.
Neutral-atom scattering factors, no anomalous dispersion.

Peak list (6 most intense, 2θ = 10–80°, in order of rising 2θ)
| h k l | 2θ/deg | I (rel.) |
| --- | --- | --- |
| 2 0 0 | 33.2 | 20 |
| 2 0 4 | 37.8 | 36 |
| 2 0 6 | 43.0 | 100 |
| 0 0 10 | 44.8 | 19 |
| 2 2 0 | 47.7 | 51 |
| 2 2 10 | 67.6 | 21 |

Atomic structure:
```
data_Ni7SnTe2H2
_chemical_formula_sum 'Ni28 Sn4 Te8 H8'
_cell_length_a 5.383
_cell_length_b 5.396
_cell_length_c 20.215
_cell_angle_alpha 90.00
_cell_angle_beta 90.00
_cell_angle_gamma 90.00
_space_group_name_H-M_alt 'F m m m'
_space_group_IT_number 69
_space_group_name_Hall '-F 2 2'
loop_
_atom_site_label
_atom_site_fract_x
_atom_site_fract_y
_atom_site_fract_z
Ni1 0.000 0.000 0.000
Ni2 0.000 0.000 0.178
Ni3 0.250 0.250 0.092
Sn1 0.000 0.000 0.500
Te1 0.000 0.000 0.310
H1 0.000 0.000 0.089
```

Starting from DFT lattice parameters and positions (PBE), the X-ray diffraction stick pattern of Zr6NiSn2H10 was calculated for Cu Ka.
Neutral-atom scattering factors, no anomalous dispersion.

Peak list (6 most intense, 2θ = 10–80°, in order of rising 2θ)
| h k l | 2θ/deg | I (rel.) |
| --- | --- | --- |
| 1 1 2 | 32.7 | 100 |
| 2 1 0 | 33.5 | 54 |
| 2 0 2 | 35.2 | 67 |
| 3 0 0 | 38.2 | 61 |
| 2 1 2 | 41.7 | 41 |
| 3 2 2 | 62.5 | 31 |

Atomic structure:
```
data_Zr6NiSn2H10
_chemical_formula_sum 'Zr12 Ni2 Sn4 H20'
_cell_length_a 8.1694
_cell_length_b 8.1694
_cell_length_c 7.3626
_cell_angle_alpha 90.00
_cell_angle_beta 90.00
_cell_angle_gamma 120.00
_space_group_name_H-M_alt 'P -6 2 c'
_space_group_IT_number 190
_space_group_name_Hall 'P -6c -2c'
loop_
_atom_site_label
_atom_site_fract_x
_atom_site_fract_y
_atom_site_fract_z
Zr1 0.0000 0.7416 0.0000
Zr2 0.0479 0.4158 0.2500
Ni1 0.0000 0.0000 0.2500
Sn1 0.3333 0.6667 0.5408
H1 0.0000 0.0000 0.0000
H2 0.0000 0.2734 0.0000
H3 0.1043 0.7026 0.2500
H4 0.1178 0.8782 0.7500
```

Starting from DFT lattice parameters and positions (PBE), the X-ray diffraction stick pattern of SrNi5H11 was calculated for Cu Ka.
Neutral-atom scattering factors, no anomalous dispersion.

Peak list (6 most intense, 2θ = 10–80°, in order of rising 2θ)
| h k l | 2θ/deg | I (rel.) |
| --- | --- | --- |
| 1 1 -1 | 19.8 | 60 |
| 0 2 1 | 26.9 | 100 |
| 2 0 -1 | 28.7 | 49 |
| 2 0 -2 | 33.4 | 50 |
| 1 3 -1 | 36.8 | 58 |
| 2 2 0 | 39.3 | 45 |

Atomic structure:
```
data_SrNi5H11
_chemical_formula_sum 'Sr2 Ni10 H22'
_cell_length_a 6.232
_cell_length_b 8.232
_cell_length_c 6.291
_cell_angle_alpha 90.00
_cell_angle_beta 117.68
_cell_angle_gamma 90.00
_space_group_name_H-M_alt 'C 1 2/m 1'
_space_group_IT_number 12
loop_
_space_group_symop_operation_xyz
'x,y,z'
'-x,-y,-z'
'-x,y,-z'
'x,-y,z'
'x+1/2,y+1/2,z'
'-x+1/2,-y+1/2,-z'
'-x+1/2,y+1/2,-z'
'x+1/2,-y+1/2,z'
loop_
_atom_site_label
_atom_site_fract_x
_atom_site_fract_y
_atom_site_fract_z
Sr1 0.000 0.000 0.000
Ni1 0.000 0.500 0.000
Ni2 0.218 0.155 0.637
H1 0.000 0.000 0.500
H2 0.066 0.222 0.361
H3 0.083 0.500 0.298
H4 0.183 0.345 0.077
```

Starting from DFT lattice parameters and positions (PBE), the X-ray diffraction stick pattern of SrNiH3 was calculated for Cu Ka.
Neutral-atom scattering factors, no anomalous dispersion.

Peak list (6 most intense, 2θ = 10–80°, in order of rising 2θ)
| h k l | 2θ/deg | I (rel.) |
| --- | --- | --- |
| 0 0 2 | 28.8 | 100 |
| 1 3 0 | 29.2 | 43 |
| 2 2 -1 | 29.5 | 80 |
| 1 3 -1 | 30.3 | 47 |
| 1 3 -2 | 37.6 | 38 |
| 2 2 1 | 38.2 | 70 |

Atomic structure:
```
data_SrNiH3
_chemical_formula_sum 'Sr8 Ni8 H24'
_cell_length_a 7.671
_cell_length_b 10.182
_cell_length_c 6.739
_cell_angle_alpha 90.00
_cell_angle_beta 112.88
_cell_angle_gamma 90.00
_space_group_name_H-M_alt 'C 1 2/c 1'
_space_group_IT_number 15
loop_
_space_group_symop_operation_xyz
'x,y,z'
'-x,-y,-z'
'-x,y,-z+1/2'
'x,-y,z+1/2'
'x+1/2,y+1/2,z'
'-x+1/2,-y+1/2,-z'
'-x+1/2,y+1/2,-z+1/2'
'x+1/2,-y+1/2,z+1/2'
loop_
_atom_site_label
_atom_site_fract_x
_atom_site_fract_y
_atom_site_fract_z
Sr1 0.000 0.086 0.250
Sr2 0.000 0.332 0.750
Ni1 0.167 0.367 0.295
H1 0.113 0.114 0.641
H2 0.145 0.459 0.465
H3 0.161 0.258 0.129
```

Starting from DFT lattice parameters and positions (PBE), the X-ray diffraction stick pattern of SrNi4H7 was calculated for Cu Ka.
Neutral-atom scattering factors, no anomalous dispersion.

Peak list (6 most intense, 2θ = 10–80°, in order of rising 2θ)
| h k l | 2θ/deg | I (rel.) |
| --- | --- | --- |
| 1 3 0 | 30.8 | 45 |
| 0 3 1 | 30.9 | 45 |
| 1 2 1 | 36.4 | 100 |
| 1 5 0 | 40.7 | 53 |
| 1 4 1 | 43.2 | 32 |
| 2 0 0 | 48.6 | 26 |

Atomic structure:
```
data_SrNi4H7
_chemical_formula_sum 'Sr2 Ni8 H14'
_cell_length_a 3.745
_cell_length_b 13.762
_cell_length_c 3.724
_cell_angle_alpha 90.00
_cell_angle_beta 90.00
_cell_angle_gamma 90.00
_space_group_name_H-M_alt 'P m m n'
_space_group_IT_number 59
loop_
_space_group_symop_operation_xyz
'x,y,z'
'-x,-y,-z'
'-x+1/2,-y+1/2,z'
'x+1/2,y+1/2,-z'
'x+1/2,-y,-z'
'-x+1/2,y,z'
'-x,y+1/2,-z'
'x,-y+1/2,z'
loop_
_atom_site_label
_atom_site_fract_x
_atom_site_fract_y
_atom_site_fract_z
Sr1 0.250 0.250 0.249
Ni1 0.250 0.000 0.750
Ni2 0.250 0.630 0.251
H1 0.250 0.121 0.749
H2 0.250 0.509 0.250
H3 0.250 0.621 0.751
H4 0.250 0.750 0.252
```

Starting from DFT lattice parameters and positions (PBE), the X-ray diffraction stick pattern of SrNi2H8 was calculated for Cu Ka.
Neutral-atom scattering factors, no anomalous dispersion.

Peak list (6 most intense, 2θ = 10–80°, in order of rising 2θ)
| h k l | 2θ/deg | I (rel.) |
| --- | --- | --- |
| 1 0 1 | 23.0 | 46 |
| 0 0 4 | 33.5 | 27 |
| 1 1 2 | 34.9 | 100 |
| 2 0 0 | 43.7 | 24 |
| 2 0 4 | 56.2 | 25 |
| 3 1 2 | 74.6 | 20 |

Atomic structure:
```
data_SrNi2H8
_chemical_formula_sum 'Sr2 Ni4 H16'
_cell_length_a 4.139
_cell_length_b 4.139
_cell_length_c 10.713
_cell_angle_alpha 90.00
_cell_angle_beta 90.00
_cell_angle_gamma 90.00
_space_group_name_H-M_alt 'I 4/m m m'
_space_group_IT_number 139
_space_group_name_Hall '-I 4 2'
loop_
_atom_site_label
_atom_site_fract_x
_atom_site_fract_y
_atom_site_fract_z
Sr1 0.000 0.000 0.000
Ni1 0.000 0.500 0.250
H1 0.227 0.227 0.328
```

Starting from DFT lattice parameters and positions (PBE), the X-ray diffraction stick pattern of SrNi2H8 was calculated for Cu Ka.
Neutral-atom scattering factors, no anomalous dispersion.

Peak list (6 most intense, 2θ = 10–80°, in order of rising 2θ)
| h k l | 2θ/deg | I (rel.) |
| --- | --- | --- |
| 1 1 1 | 30.4 | 100 |
| 0 2 1 | 31.2 | 55 |
| 2 0 0 | 37.3 | 32 |
| 1 3 0 | 39.3 | 53 |
| 2 2 1 | 49.4 | 28 |
| 1 3 2 | 59.6 | 31 |

Atomic structure:
```
data_SrNi2H8
_chemical_formula_sum 'Sr2 Ni4 H16'
_cell_length_a 4.816
_cell_length_b 7.813
_cell_length_c 4.214
_cell_angle_alpha 90.00
_cell_angle_beta 90.00
_cell_angle_gamma 90.00
_space_group_name_H-M_alt 'C m m m'
_space_group_IT_number 65
_space_group_name_Hall '-C 2 2'
loop_
_atom_site_label
_atom_site_fract_x
_atom_site_fract_y
_atom_site_fract_z
Sr1 0.000 0.000 0.000
Ni1 0.000 0.329 0.500
H1 0.000 0.335 0.000
H2 0.000 0.500 0.261
H3 0.168 0.149 0.500
```

Starting from DFT lattice parameters and positions (PBE), the X-ray diffraction stick pattern of TaNi2H2 was calculated for Cu Ka.
Neutral-atom scattering factors, no anomalous dispersion.

Peak list (6 most intense, 2θ = 10–80°, in order of rising 2θ)
| h k l | 2θ/deg | I (rel.) |
| --- | --- | --- |
| 0 0 2 | 20.4 | 29 |
| 0 1 1 | 27.2 | 43 |
| 0 1 3 | 40.2 | 100 |
| 1 1 0 | 40.7 | 97 |
| 1 0 3 | 44.6 | 76 |
| 1 2 3 | 70.6 | 37 |

Atomic structure:
```
data_TaNi2H2
_chemical_formula_sum 'Ta2 Ni4 H4'
_cell_length_a 2.844
_cell_length_b 3.533
_cell_length_c 8.723
_cell_angle_alpha 90.00
_cell_angle_beta 90.00
_cell_angle_gamma 90.00
_space_group_name_H-M_alt 'I m m m'
_space_group_IT_number 71
_space_group_name_Hall '-I 2 2'
loop_
_atom_site_label
_atom_site_fract_x
_atom_site_fract_y
_atom_site_fract_z
Ta1 0.000 0.000 0.000
Ni1 0.000 0.000 0.325
H1 0.000 0.500 0.327
```

Starting from DFT lattice parameters and positions (PBE), the X-ray diffraction stick pattern of TaNiH was calculated for Cu Ka.
Neutral-atom scattering factors, no anomalous dispersion.

Peak list (6 most intense, 2θ = 10–80°, in order of rising 2θ)
| h k l | 2θ/deg | I (rel.) |
| --- | --- | --- |
| 0 2 1 | 27.8 | 55 |
| 1 1 1 | 38.7 | 100 |
| 1 3 0 | 41.0 | 55 |
| 0 4 1 | 41.9 | 45 |
| 0 0 2 | 43.4 | 37 |
| 1 3 2 | 61.2 | 33 |

Atomic structure:
```
data_TaNiH
_chemical_formula_sum 'Ta4 Ni4 H4'
_cell_length_a 2.916
_cell_length_b 10.067
_cell_length_c 4.174
_cell_angle_alpha 90.00
_cell_angle_beta 90.00
_cell_angle_gamma 90.00
_space_group_name_H-M_alt 'C m c m'
_space_group_IT_number 63
_space_group_name_Hall '-C 2c 2'
loop_
_atom_site_label
_atom_site_fract_x
_atom_site_fract_y
_atom_site_fract_z
Ta1 0.000 0.154 0.250
Ni1 0.000 0.434 0.250
H1 0.000 0.202 0.750
```

Starting from DFT lattice parameters and positions (PBE), the X-ray diffraction stick pattern of TaNi3H4 was calculated for Cu Ka.
Neutral-atom scattering factors, no anomalous dispersion.

Peak list (6 most intense, 2θ = 10–80°, in order of rising 2θ)
| h k l | 2θ/deg | I (rel.) |
| --- | --- | --- |
| 0 1 1 | 18.8 | 83 |
| 1 1 1 | 37.2 | 52 |
| 0 2 2 | 38.2 | 100 |
| 0 1 3 | 40.4 | 52 |
| 1 0 2 | 40.8 | 92 |
| 1 2 0 | 43.2 | 93 |

Atomic structure:
```
data_TaNi3H4
_chemical_formula_sum 'Ta2 Ni6 H8'
_cell_length_a 2.812
_cell_length_b 6.264
_cell_length_c 7.164
_cell_angle_alpha 90.00
_cell_angle_beta 90.00
_cell_angle_gamma 90.00
_space_group_name_H-M_alt 'A m m 2'
_space_group_IT_number 38
loop_
_space_group_symop_operation_xyz
'x,y,z'
'-x,-y,z'
'-x,y,z'
'x,-y,z'
'x,y+1/2,z+1/2'
'-x,-y+1/2,z+1/2'
'-x,y+1/2,z+1/2'
'x,-y+1/2,z+1/2'
loop_
_atom_site_label
_atom_site_fract_x
_atom_site_fract_y
_atom_site_fract_z
Ta1 0.000 0.000 0.000
Ni1 0.000 0.000 0.390
Ni2 0.500 0.215 0.692
H1 0.000 0.187 0.563
H2 0.500 0.000 0.240
H3 0.500 0.000 0.818
```

Starting from DFT lattice parameters and positions (PBE), the X-ray diffraction stick pattern of TaNiH was calculated for Cu Ka.
Neutral-atom scattering factors, no anomalous dispersion.

Peak list (6 most intense, 2θ = 10–80°, in order of rising 2θ)
| h k l | 2θ/deg | I (rel.) |
| --- | --- | --- |
| 1 0 -1 | 24.5 | 38 |
| 1 0 1 | 29.5 | 30 |
| 0 0 2 | 38.5 | 51 |
| 2 0 0 | 38.9 | 53 |
| 1 1 -1 | 40.8 | 100 |
| 1 1 1 | 44.1 | 76 |

Atomic structure:
```
data_TaNiH
_chemical_formula_sum 'Ta2 Ni2 H2'
_cell_length_a 4.709
_cell_length_b 2.789
_cell_length_c 4.748
_cell_angle_alpha 90.00
_cell_angle_beta 100.31
_cell_angle_gamma 90.00
_space_group_name_H-M_alt 'P 1 2/m 1'
_space_group_IT_number 10
loop_
_space_group_symop_operation_xyz
'x,y,z'
'-x,-y,-z'
'-x,y,-z'
'x,-y,z'
loop_
_atom_site_label
_atom_site_fract_x
_atom_site_fract_y
_atom_site_fract_z
Ta1 0.242 0.000 0.277
Ni1 0.295 0.500 0.792
H1 0.000 0.500 0.000
H2 0.000 0.500 0.500
```

Starting from DFT lattice parameters and positions (PBE), the X-ray diffraction stick pattern of TcNiH was calculated for Cu Ka.
Neutral-atom scattering factors, no anomalous dispersion.

Peak list (6 most intense, 2θ = 10–80°, in order of rising 2θ)
| h k l | 2θ/deg | I (rel.) |
| --- | --- | --- |
| 1 0 2 | 37.8 | 28 |
| 2 1 0 | 42.7 | 62 |
| 0 2 0 | 43.1 | 39 |
| 1 1 2 | 43.7 | 100 |
| 3 0 2 | 66.7 | 18 |
| 1 3 2 | 79.5 | 16 |

Atomic structure:
```
data_TcNiH
_chemical_formula_sum 'Tc4 Ni4 H4'
_cell_length_a 4.910
_cell_length_b 4.196
_cell_length_c 5.443
_cell_angle_alpha 90.00
_cell_angle_beta 90.00
_cell_angle_gamma 90.00
_space_group_name_H-M_alt 'P n m a'
_space_group_IT_number 62
loop_
_space_group_symop_operation_xyz
'x,y,z'
'-x,-y,-z'
'-x+1/2,-y,z+1/2'
'x+1/2,y,-z+1/2'
'x+1/2,-y+1/2,-z+1/2'
'-x+1/2,y+1/2,z+1/2'
'-x,y+1/2,-z'
'x,-y+1/2,z'
loop_
_atom_site_label
_atom_site_fract_x
_atom_site_fract_y
_atom_site_fract_z
Tc1 0.083 0.250 0.123
Ni1 0.095 0.250 0.593
H1 0.224 0.750 0.333
```